No. 1
Diffraction record for YErTeO2. The powder X-ray diffraction pattern is calculated, not measured: it uses a crystal structure in OQMD, relaxed with GGA-PBE and Cu Ka.
Intensities are scaled so that the largest is 100.

Structure:
a b c (Å): 3.8715 3.8715 7.1561
angles (deg): 90.00 90.00 120.00
Sites, in units of the cell vectors:
Y  0.0000  0.0000  0.0000
Er  0.3333  0.6667  0.6092
Te  0.6667  0.3333  0.3053
O  0.0000  0.0000  0.6801
O  0.3333  0.6667  0.9217

Main lines, low angle first (10 to 90 degrees two-theta):
two_theta  I_rel
29.4  100
36.7  52
37.7  17
46.9  33
56.4  16
61.7  23


No. 2
Diffraction record for ErOsPb. The powder X-ray diffraction pattern is calculated, not measured: it uses a crystal structure in OQMD, relaxed with GGA-PBE and Cu Ka.
Intensities are scaled so that the largest is 100.

Structure:
a b c (Å): 6.6693 6.6693 6.6693
angles (deg): 90.00 90.00 90.00
Sites, in units of the cell vectors:
Er  0.0000  0.0000  0.0000
Er  0.0000  0.5000  0.5000
Er  0.5000  0.0000  0.5000
Er  0.5000  0.5000  0.0000
Os  0.0000  0.0000  0.5000
Os  0.0000  0.5000  0.0000
Os  0.5000  0.0000  0.0000
Os  0.5000  0.5000  0.5000
Pb  0.2500  0.2500  0.2500
Pb  0.2500  0.7500  0.7500
Pb  0.7500  0.2500  0.7500
Pb  0.7500  0.7500  0.2500

Main lines, low angle first (10 to 90 degrees two-theta):
two_theta  I_rel
23.1  32
38.2  100
45.1  17
55.1  18
69.0  36
81.7  12


No. 3
Diffraction record for ErTm3Sc2Sb2Os. The powder X-ray diffraction pattern is calculated, not measured: it uses a crystal structure in OQMD, relaxed with GGA-PBE and Cu Ka.
Intensities are scaled so that the largest is 100.

Structure:
a b c (Å): 4.0845 8.0028 8.0028
angles (deg): 120.45 90.00 90.00
Sites, in units of the cell vectors:
Er  0.0000  0.0000  0.0000
Tm  0.5000  0.1529  0.3943
Tm  0.5000  0.3943  0.1529
Tm  0.5000  0.6335  0.6335
Sc  0.0000  0.3913  0.7794
Sc  0.0000  0.7794  0.3913
Sb  0.5000  0.0597  0.7202
Sb  0.5000  0.7202  0.0597
Os  0.0000  0.3938  0.3938

Main lines, low angle first (10 to 90 degrees two-theta):
two_theta  I_rel
12.8  100
31.3  75
33.9  51
34.0  84
40.9  91
41.1  47


No. 4
Diffraction record for Y2ErTm3Sb2Os. The powder X-ray diffraction pattern is calculated, not measured: it uses a crystal structure in OQMD, relaxed with GGA-PBE and Cu Ka.
Intensities are scaled so that the largest is 100.

Structure:
a b c (Å): 4.2066 8.1191 8.1191
angles (deg): 120.18 90.00 90.00
Sites, in units of the cell vectors:
Y  0.0000  0.1971  0.8029
Y  0.0000  0.8029  0.1971
Er  0.0000  0.4124  0.4124
Tm  0.5000  0.0363  0.0363
Tm  0.5000  0.5672  0.8025
Tm  0.5000  0.8025  0.5672
Sb  0.5000  0.1368  0.4693
Sb  0.5000  0.4693  0.1368
Os  0.0000  0.7978  0.7978

Main lines, low angle first (10 to 90 degrees two-theta):
two_theta  I_rel
12.6  54
30.6  98
33.2  100
33.7  41
40.2  86
43.0  33


No. 5
Diffraction record for Y3Er3Sb2Os. The powder X-ray diffraction pattern is calculated, not measured: it uses a crystal structure in OQMD, relaxed with GGA-PBE and Cu Ka.
Intensities are scaled so that the largest is 100.

Structure:
a b c (Å): 8.1527 8.1527 4.2095
angles (deg): 90.00 90.00 120.00
Sites, in units of the cell vectors:
Y  0.0000  0.6049  0.0000
Y  0.3951  0.3951  0.0000
Y  0.6049  0.0000  0.0000
Er  0.0000  0.2351  0.5000
Er  0.2351  0.0000  0.5000
Er  0.7649  0.7649  0.5000
Sb  0.3333  0.6667  0.5000
Sb  0.6667  0.3333  0.5000
Os  0.0000  0.0000  0.0000

Main lines, low angle first (10 to 90 degrees two-theta):
two_theta  I_rel
12.5  57
30.5  85
33.1  100
33.6  64
38.2  41
40.0  97


No. 6
Diffraction record for Er3Si13Os4. The powder X-ray diffraction pattern is calculated, not measured: it uses a crystal structure in OQMD, relaxed with GGA-PBE and Cu Ka.
Intensities are scaled so that the largest is 100.

Structure:
a b c (Å): 8.7768 8.7768 8.7768
angles (deg): 90.00 90.00 90.00
Sites, in units of the cell vectors:
Er  0.0000  0.2500  0.5000
Er  0.0000  0.7500  0.5000
Er  0.2500  0.5000  0.0000
Er  0.5000  0.0000  0.2500
Er  0.5000  0.0000  0.7500
Er  0.7500  0.5000  0.0000
Si  0.0000  0.0000  0.0000
Si  0.0000  0.2822  0.1383
Si  0.0000  0.2822  0.8617
Si  0.0000  0.7178  0.1383
Si  0.0000  0.7178  0.8617
Si  0.1383  0.0000  0.2822
Si  0.1383  0.0000  0.7178
Si  0.2178  0.5000  0.3617
Si  0.2178  0.5000  0.6383
Si  0.2822  0.1383  0.0000
Si  0.2822  0.8617  0.0000
Si  0.3617  0.2178  0.5000
Si  0.3617  0.7822  0.5000
Si  0.5000  0.3617  0.2178
Si  0.5000  0.3617  0.7822
Si  0.5000  0.5000  0.5000
Si  0.5000  0.6383  0.2178
Si  0.5000  0.6383  0.7822
Si  0.6383  0.2178  0.5000
Si  0.6383  0.7822  0.5000
Si  0.7178  0.1383  0.0000
Si  0.7178  0.8617  0.0000
Si  0.7822  0.5000  0.3617
Si  0.7822  0.5000  0.6383
Si  0.8617  0.0000  0.2822
Si  0.8617  0.0000  0.7178
Os  0.2500  0.2500  0.2500
Os  0.2500  0.2500  0.7500
Os  0.2500  0.7500  0.2500
Os  0.2500  0.7500  0.7500
Os  0.7500  0.2500  0.2500
Os  0.7500  0.2500  0.7500
Os  0.7500  0.7500  0.2500
Os  0.7500  0.7500  0.7500

Main lines, low angle first (10 to 90 degrees two-theta):
two_theta  I_rel
20.2  70
22.7  57
28.8  48
35.4  100
36.9  51
41.1  68


No. 7
Diffraction record for YErSi2Os. The powder X-ray diffraction pattern is calculated, not measured: it uses a crystal structure in OQMD, relaxed with GGA-PBE and Cu Ka.
Intensities are scaled so that the largest is 100.

Structure:
a b c (Å): 5.6993 5.6993 9.9658
angles (deg): 116.43 116.43 43.45
Sites, in units of the cell vectors:
Y  0.1862  0.1862  0.1103
Y  0.8138  0.8138  0.8897
Er  0.0067  0.0067  0.6771
Er  0.9933  0.9933  0.3229
Si  0.3572  0.3572  0.4398
Si  0.4964  0.4964  0.1256
Si  0.5036  0.5036  0.8744
Si  0.6428  0.6428  0.5602
Os  0.2689  0.2689  0.6261
Os  0.7311  0.7311  0.3739

Main lines, low angle first (10 to 90 degrees two-theta):
two_theta  I_rel
10.1  100
33.8  55
34.0  87
37.3  66
41.3  58
42.9  41


No. 8
Diffraction record for Sm3Er2TmTe2Os. The powder X-ray diffraction pattern is calculated, not measured: it uses a crystal structure in OQMD, relaxed with GGA-PBE and Cu Ka.
Intensities are scaled so that the largest is 100.

Structure:
a b c (Å): 4.0828 8.3300 8.3300
angles (deg): 119.93 90.00 90.00
Sites, in units of the cell vectors:
Sm  0.0000  0.0000  0.0000
Sm  0.0000  0.2093  0.6043
Sm  0.0000  0.6043  0.2093
Er  0.5000  0.6043  0.8390
Er  0.5000  0.8390  0.6043
Tm  0.5000  0.3701  0.3701
Te  0.5000  0.2709  0.9381
Te  0.5000  0.9381  0.2709
Os  0.0000  0.6030  0.6030

Main lines, low angle first (10 to 90 degrees two-theta):
two_theta  I_rel
30.7  100
32.8  66
33.1  96
37.4  43
39.7  63
60.3  39